Computed powder diffractogram
Compound: CaIn2
Radiation: copper Kα
Structure: a GGA-PBE-relaxed structure

Cell and atoms:
Lattice parameters (Å, degrees): 5.4674 5.4674 7.8297 90.00 90.00 120.00
Fractional positions:
Ca 0.0000 0.0000 0.0000
Ca 0.0000 0.0000 0.5000
In 0.3333 0.6667 0.0541
In 0.3333 0.6667 0.4459
In 0.6667 0.3333 0.5541
In 0.6667 0.3333 0.9459

Peak list (8 most intense, 2θ = 5–70°, by angle)
d 4.735, intensity 28; d 4.052, intensity 33; d 3.915, intensity 56; d 2.734, intensity 100; d 2.286, intensity 47; d 2.241, intensity 74; d 1.754, intensity 20; d 1.476, intensity 22

Computed powder diffractogram
Compound: CaIn2
Radiation: copper Kα
Structure: a GGA-PBE-relaxed structure

Cell and atoms:
Lattice parameters (Å, degrees): 4.9631 4.9631 7.7840 90.00 90.00 120.00
Fractional positions:
Ca 0.0000 0.0000 0.2500
Ca 0.0000 0.0000 0.7500
In 0.3333 0.6667 0.0478
In 0.3333 0.6667 0.4522
In 0.6667 0.3333 0.5478
In 0.6667 0.3333 0.9522

Peak list (8 most intense, 2θ = 5–70°, by angle)
d 4.298, intensity 29; d 3.892, intensity 32; d 3.763, intensity 29; d 2.885, intensity 77; d 2.482, intensity 100; d 2.221, intensity 48; d 2.092, intensity 36; d 1.881, intensity 21

Computed powder diffractogram
Compound: CaIn2Ir
Radiation: copper Kα
Structure: a GGA-PBE-relaxed structure

Cell and atoms:
Lattice parameters (Å, degrees): 16.0664 7.9606 5.7638 90.00 90.00 90.00
Fractional positions:
Ca 0.1024 0.2500 0.2480
Ca 0.1382 0.7500 0.4611
Ca 0.3618 0.2500 0.9611
Ca 0.3976 0.7500 0.7480
Ca 0.6024 0.2500 0.2520
Ca 0.6382 0.7500 0.0389
Ca 0.8618 0.2500 0.5389
Ca 0.8976 0.7500 0.7520
In 0.0393 0.0540 0.7517
In 0.0393 0.4460 0.7517
In 0.2122 0.5499 0.9670
In 0.2122 0.9501 0.9670
In 0.2878 0.0499 0.4670
In 0.2878 0.4501 0.4670
In 0.4607 0.5540 0.2517
In 0.4607 0.9460 0.2517
In 0.5393 0.0540 0.7483
In 0.5393 0.4460 0.7483
In 0.7122 0.5499 0.5330
In 0.7122 0.9501 0.5330
In 0.7878 0.0499 0.0330
In 0.7878 0.4501 0.0330
In 0.9607 0.5540 0.2483
In 0.9607 0.9460 0.2483
Ir 0.0703 0.7500 0.9793
Ir 0.1858 0.2500 0.7341
Ir 0.3142 0.7500 0.2341
Ir 0.4297 0.2500 0.4793
Ir 0.5703 0.7500 0.5207
Ir 0.6858 0.2500 0.7659
Ir 0.8142 0.7500 0.2659
Ir 0.9297 0.2500 0.0207

Peak list (8 most intense, 2θ = 5–70°, by angle)
d 5.425, intensity 55; d 4.677, intensity 100; d 2.568, intensity 84; d 2.538, intensity 43; d 2.428, intensity 42; d 2.309, intensity 50; d 2.242, intensity 95; d 2.214, intensity 68

Computed powder diffractogram
Compound: CaIn2N2
Radiation: copper Kα
Structure: a GGA-PBE-relaxed structure

Cell and atoms:
Lattice parameters (Å, degrees): 8.1326 8.1326 8.1326 24.48 24.48 24.48
Fractional positions:
Ca 0.0000 0.0000 0.0000
In 0.2220 0.2220 0.2220
In 0.7780 0.7780 0.7780
N 0.3977 0.3977 0.3977
N 0.6023 0.6023 0.6023

Peak list (8 most intense, 2θ = 5–70°, by angle)
d 7.885, intensity 31; d 2.896, intensity 67; d 2.666, intensity 73; d 2.628, intensity 38; d 2.525, intensity 100; d 2.238, intensity 34; d 1.724, intensity 43; d 1.442, intensity 35

Computed powder diffractogram
Compound: Ca3InN3
Radiation: copper Kα
Structure: a GGA-PBE-relaxed structure

Cell and atoms:
Lattice parameters (Å, degrees): 7.4784 7.4784 5.0884 90.00 90.00 120.00
Fractional positions:
Ca 0.0664 0.3395 0.2500
Ca 0.2731 0.9336 0.2500
Ca 0.3395 0.2731 0.7500
Ca 0.6605 0.7269 0.2500
Ca 0.7269 0.0664 0.7500
Ca 0.9336 0.6605 0.7500
In 0.3333 0.6667 0.7500
In 0.6667 0.3333 0.2500
N 0.0669 0.3670 0.7500
N 0.3001 0.9331 0.7500
N 0.3670 0.3001 0.2500
N 0.6330 0.6999 0.7500
N 0.6999 0.0669 0.2500
N 0.9331 0.6330 0.2500

Peak list (8 most intense, 2θ = 5–70°, by angle)
d 6.476, intensity 48; d 4.001, intensity 99; d 3.238, intensity 33; d 2.732, intensity 100; d 2.544, intensity 54; d 2.206, intensity 50; d 2.159, intensity 56; d 1.646, intensity 44

Computed powder diffractogram
Compound: Ca19In8N7
Radiation: copper Kα
Structure: a GGA-PBE-relaxed structure

Cell and atoms:
Lattice parameters (Å, degrees): 10.4404 10.4404 10.4404 60.00 60.00 60.00
Fractional positions:
Ca 0.0000 0.0000 0.0000
Ca 0.0000 0.0000 0.3270
Ca 0.0000 0.0000 0.6730
Ca 0.0000 0.3270 0.0000
Ca 0.0000 0.3270 0.6730
Ca 0.0000 0.6730 0.0000
Ca 0.0000 0.6730 0.3270
Ca 0.3270 0.0000 0.0000
Ca 0.3270 0.0000 0.6730
Ca 0.3270 0.6730 0.0000
Ca 0.3335 0.3335 0.6665
Ca 0.3335 0.6665 0.3335
Ca 0.3335 0.6665 0.6665
Ca 0.6665 0.3335 0.3335
Ca 0.6665 0.3335 0.6665
Ca 0.6665 0.6665 0.3335
Ca 0.6730 0.0000 0.0000
Ca 0.6730 0.0000 0.3270
Ca 0.6730 0.3270 0.0000
In 0.0242 0.3253 0.3253
In 0.3253 0.0242 0.3253
In 0.3253 0.3253 0.0242
In 0.3253 0.3253 0.3253
In 0.6747 0.6747 0.6747
In 0.6747 0.6747 0.9758
In 0.6747 0.9758 0.6747
In 0.9758 0.6747 0.6747
N 0.1738 0.1738 0.8262
N 0.1738 0.8262 0.1738
N 0.1738 0.8262 0.8262
N 0.5000 0.5000 0.5000
N 0.8262 0.1738 0.1738
N 0.8262 0.1738 0.8262
N 0.8262 0.8262 0.1738

Peak list (8 most intense, 2θ = 5–70°, by angle)
d 7.382, intensity 23; d 5.220, intensity 16; d 3.387, intensity 17; d 2.842, intensity 100; d 2.461, intensity 61; d 2.252, intensity 14; d 1.740, intensity 39; d 1.484, intensity 34